This entry pairs a crystal structure of CsV3O8 with its simulated powder X-ray diffraction pattern. Radiation: a wavelength of 1.5418 Å. Structure: a structure optimized by DFT (GGA+U).

Top 6 peaks for 10 to 90 degrees two-theta, sorted by position:
| 2θ (°) | d_spacing | I/Imax |
| --- | --- | --- |
| 23.44 | 3.795 | 100 |
| 25.53 | 3.489 | 12 |
| 33.19 | 2.699 | 15 |
| 33.60 | 2.668 | 30 |
| 39.09 | 2.304 | 13 |
| 54.31 | 1.689 | 16 |

Structure:
```
data_CsV3O8
_chemical_formula_sum 'Cs3 V9 O24'
_symmetry_space_group_name_H-M 'R -3'
_symmetry_Int_Tables_number 148
_symmetry_space_group_name_Hall '-R 3'
_cell_length_a 5.3351
_cell_length_b 5.3351
_cell_length_c 26.6083
_cell_angle_alpha 90.00
_cell_angle_beta 90.00
_cell_angle_gamma 120.00
loop_
_atom_site_label
_atom_site_type_symbol
_atom_site_fract_x
_atom_site_fract_y
_atom_site_fract_z
Cs1 Cs 0.0000 0.0000 0.0000
V1 V 0.0000 0.0000 0.2284
V2 V 0.0000 0.0000 0.5000
O1 O 0.0000 0.0000 0.2909
O2 O 0.0164 0.5960 0.1256
```